1.
Computed powder diffraction line list
Compound: TlPdBr3
Radiation: Cu Kα, 1.54184 Å
Structure: a GGA-PBE-relaxed structure
Peak positions follow from Bragg's law for the DFT cell and can differ from measured ones.

```
data_TlPdBr3
_symmetry_space_group_name_H-M 'P m n 21'
_symmetry_Int_Tables_number 31
_cell_length_a 6.779
_cell_length_b 10.822
_cell_length_c 4.538
_cell_angle_alpha 90.00
_cell_angle_beta 90.00
_cell_angle_gamma 90.00
loop_
_symmetry_equiv_pos_as_xyz
'x,y,z'
'-x+1/2,-y,z+1/2'
'-x,y,z'
'x+1/2,-y,z+1/2'
loop_
_atom_site_label
_atom_site_type_symbol
_atom_site_fract_x
_atom_site_fract_y
_atom_site_fract_z
Tl1 Tl 0.000 0.111 0.000
Pd1 Pd 0.000 0.501 0.710
Br1 Br 0.000 0.916 0.500
Br2 Br 0.250 0.371 0.465
```

The 10 most intense peaks (15° ≤ 2θ ≤ 90°), sorted by position:
2theta  I (rel.)  h k l
16.38  24  0 2 0
25.01  26  1 1 1
25.62  100  0 2 1
27.58  23  2 1 0
34.04  43  2 1 1
36.37  24  2 3 0
41.63  38  2 3 1
49.04  34  2 1 2
50.00  19  2 5 0
60.80  18  4 2 1

***

2.
Computed powder diffraction line list
Compound: Tl3Pd2Br9
Radiation: Cu Kα, 1.54184 Å
Structure: a GGA-PBE-relaxed structure
Peak positions follow from Bragg's law for the DFT cell and can differ from measured ones.

```
data_Tl3Pd2Br9
_symmetry_space_group_name_H-M 'R -3 c'
_symmetry_Int_Tables_number 167
_symmetry_space_group_name_Hall '-R 3 2"c'
_cell_length_a 12.1972
_cell_length_b 12.1972
_cell_length_c 21.6722
_cell_angle_alpha 90.00
_cell_angle_beta 90.00
_cell_angle_gamma 120.00
loop_
_atom_site_label
_atom_site_type_symbol
_atom_site_fract_x
_atom_site_fract_y
_atom_site_fract_z
Tl1 Tl 0.0000 0.3368 0.2500
Pd1 Pd 0.0000 0.0000 0.1749
Br1 Br 0.0000 0.1679 0.7500
Br2 Br 0.0084 0.1793 0.1108
```

The 10 most intense peaks (15° ≤ 2θ ≤ 90°), sorted by position:
2theta  I (rel.)  h k l
19.04  26  1 1 3
24.65  21  0 0 6
25.29  24  3 0 0
28.73  21  1 1 6
31.85  100  2 2 3
38.64  28  2 2 6
40.25  16  1 1 9
48.15  15  2 2 9
51.94  24  6 0 0
62.23  14  4 4 3

***

3.
Computed powder diffraction line list
Compound: Pd3WBr
Radiation: Cu Kα, 1.54184 Å
Structure: a GGA-PBE-relaxed structure
Peak positions follow from Bragg's law for the DFT cell and can differ from measured ones.

```
data_Pd3WBr
_symmetry_space_group_name_H-M 'P m -3 m'
_symmetry_Int_Tables_number 221
_symmetry_space_group_name_Hall '-P 4 2 3'
_cell_length_a 4.887
_cell_length_b 4.887
_cell_length_c 4.887
_cell_angle_alpha 90.00
_cell_angle_beta 90.00
_cell_angle_gamma 90.00
loop_
_atom_site_label
_atom_site_type_symbol
_atom_site_fract_x
_atom_site_fract_y
_atom_site_fract_z
Pd1 Pd 0.000 0.000 0.500
W1 W 0.000 0.000 0.000
Br1 Br 0.500 0.500 0.500
```

The 10 most intense peaks (15° ≤ 2θ ≤ 90°), sorted by position:
2theta  I (rel.)  h k l
18.15  72  1 0 0
25.78  35  1 1 0
31.71  30  1 1 1
36.78  100  2 0 0
41.31  36  2 1 0
45.46  15  2 1 1
52.99  69  2 2 0
56.49  18  3 0 0
66.24  23  2 2 2
89.73  32  4 2 0